RbC: theoretical X-ray powder pattern (Cu Kα, 1.54184 Å), based on DFT lattice parameters and positions (GGA-PBE).
No peak broadening, texture or thermal motion is included.

Top 10 peaks for 10 to 90 degrees two-theta, in order of rising 2θ:
- 2θ 21.13, intensity 90, (1 0 1)
- 2θ 30.31, intensity 42, (1 0 3)
- 2θ 30.56, intensity 25, (0 0 4)
- 2θ 31.98, intensity 100, (1 1 2)
- 2θ 40.02, intensity 27, (2 0 0)
- 2θ 43.57, intensity 18, (1 0 5)
- 2θ 45.68, intensity 24, (2 1 1)
- 2θ 51.01, intensity 19, (2 1 3)
- 2θ 51.17, intensity 22, (2 0 4)
- 2θ 67.67, intensity 21, (3 1 2)

Structural model:
Unit cell a=4.506 b=4.506 c=11.703 alpha=90.00 beta=90.00 gamma=90.00
Space group I-4m2 (No. 119)
Asymmetric unit:
Rb (0.000, 0.000, 0.000) x2
Rb (0.000, 0.500, 0.250) x2
C (0.000, 0.000, 0.446) x4

---

K2SbPdO4: theoretical X-ray powder pattern (Cu Kα, 1.54184 Å), based on DFT lattice parameters and positions (GGA-PBE).
No peak broadening, texture or thermal motion is included.

Top 10 peaks for 10 to 90 degrees two-theta, in order of rising 2θ:
- 2θ 15.01, intensity 100, (0 0 1)
- 2θ 16.28, intensity 18, (2 0 -1)
- 2θ 27.37, intensity 26, (2 0 -2)
- 2θ 29.29, intensity 53, (1 1 1)
- 2θ 30.28, intensity 18, (0 0 2)
- 2θ 30.66, intensity 50, (3 1 -1)
- 2θ 31.33, intensity 17, (4 0 0)
- 2θ 31.94, intensity 18, (3 1 0)
- 2θ 43.74, intensity 19, (0 2 0)
- 2θ 44.07, intensity 16, (6 0 -2)

Structural model:
Unit cell a=12.665 b=4.140 c=6.547 alpha=90.00 beta=115.60 gamma=90.00
Space group Cm (No. 8)
Asymmetric unit:
K (0.000, 0.000, 0.000) x2
K (0.165, 0.000, 0.693) x2
Sb (0.424, 0.000, 0.411) x2
Pd (0.219, 0.500, 0.336) x2
O (0.020, 0.500, 0.731) x2
O (0.047, 0.500, 0.297) x2
O (0.248, 0.000, 0.370) x2
O (0.383, 0.500, 0.329) x2

---

Sb4Ru5: theoretical X-ray powder pattern (Cu Kα, 1.54184 Å), based on DFT lattice parameters and positions (GGA-PBE).
No peak broadening, texture or thermal motion is included.

Top 10 peaks for 10 to 90 degrees two-theta, in order of rising 2θ:
- 2θ 29.72, intensity 9, (0 0 2)
- 2θ 37.87, intensity 100, (1 1 2)
- 2θ 38.49, intensity 29, (2 1 1)
- 2θ 40.28, intensity 76, (3 0 0)
- 2θ 51.34, intensity 13, (3 1 1)
- 2θ 56.47, intensity 24, (2 2 2)
- 2θ 61.72, intensity 9, (0 0 4)
- 2θ 71.62, intensity 19, (4 1 2)
- 2θ 76.31, intensity 22, (3 0 4)
- 2θ 76.73, intensity 9, (4 2 1)

Structural model:
Unit cell a=7.7567 b=7.7567 c=6.0116 alpha=90.00 beta=90.00 gamma=120.00
Space group P6_3/mcm (No. 193)
Asymmetric unit:
Sb (0.0000, 0.0000, 0.0000) x2
Sb (0.0000, 0.3790, 0.2500) x6
Ru (0.0000, 0.2926, 0.7500) x6
Ru (0.3333, 0.6667, 0.0000) x4

---

PmHfSi: theoretical X-ray powder pattern (Cu Kα, 1.54184 Å), based on DFT lattice parameters and positions (GGA-PBE).
No peak broadening, texture or thermal motion is included.

Top 10 peaks for 10 to 90 degrees two-theta, in order of rising 2θ:
- 2θ 26.92, intensity 100, (2 2 -1)
- 2θ 37.41, intensity 20, (0 4 0)
- 2θ 38.43, intensity 73, (2 2 1)
- 2θ 39.45, intensity 17, (4 0 -2)
- 2θ 46.68, intensity 16, (0 4 2)
- 2θ 48.40, intensity 14, (4 0 0)
- 2θ 55.49, intensity 19, (4 4 -2)
- 2θ 62.72, intensity 25, (4 4 0)
- 2θ 68.16, intensity 13, (2 6 1)
- 2θ 70.87, intensity 12, (6 2 -1)

Structural model:
Unit cell a=9.136 b=9.616 c=8.043 alpha=90.00 beta=124.53 gamma=90.00
Space group C2/c (No. 15)
Asymmetric unit:
Pm (0.118, 0.125, 0.486) x8
Hf (0.125, 0.375, 0.001) x8
Si (0.000, 0.149, 0.750) x4
Si (0.000, 0.399, 0.250) x4